This entry pairs a crystal structure of Nd4YTh3Se8 with its calculated powder XRD pattern. Radiation: CuKα. Structure: a DFT-relaxed cell (GGA-PBE, Alexandria).
Intensities are scaled so that the largest is 100.

Atomic structure:
```
data_Nd4YTh3Se8
_chemical_formula_sum 'Nd4 Y1 Th3 Se8'
_cell_length_a 8.440
_cell_length_b 8.440
_cell_length_c 8.440
_cell_angle_alpha 59.46
_cell_angle_beta 59.46
_cell_angle_gamma 59.46
_symmetry_space_group_name_H-M 'P 1'
_symmetry_Int_Tables_number 1
loop_
_symmetry_equiv_pos_as_xyz
'x,y,z'
loop_
_atom_site_label
_atom_site_fract_x
_atom_site_fract_y
_atom_site_fract_z
Nd1 0.000 0.000 0.000
Nd2 0.000 0.500 0.500
Nd3 0.500 0.000 0.500
Nd4 0.500 0.500 0.000
Y1 0.500 0.500 0.500
Th1 0.000 0.000 0.500
Th2 0.000 0.500 0.000
Th3 0.500 0.000 0.000
Se1 0.250 0.250 0.250
Se2 0.254 0.254 0.746
Se3 0.254 0.746 0.254
Se4 0.254 0.746 0.746
Se5 0.746 0.254 0.254
Se6 0.746 0.254 0.746
Se7 0.746 0.746 0.254
Se8 0.750 0.750 0.750
```

Largest 10 diffraction maxima, in order of rising 2θ, 15 to 90 degrees two-theta:
2θ (°)	I_rel
26.04	17.6
30.07	100.0
42.86	38.0
43.23	37.1
52.93	6.8
53.56	19.8
62.51	12.4
70.65	17.3
71.18	16.9
79.04	12.7

***

This entry pairs a crystal structure of NdTi2Se4 with its calculated powder XRD pattern. Radiation: CuKα. Structure: a DFT-relaxed cell (GGA-PBE, Alexandria).
Intensities are scaled so that the largest is 100.

Atomic structure:
```
data_NdTi2Se4
_chemical_formula_sum 'Nd2 Ti4 Se8'
_cell_length_a 6.389
_cell_length_b 6.389
_cell_length_c 13.042
_cell_angle_alpha 90.00
_cell_angle_beta 90.00
_cell_angle_gamma 143.86
_symmetry_space_group_name_H-M 'P 1'
_symmetry_Int_Tables_number 1
loop_
_symmetry_equiv_pos_as_xyz
'x,y,z'
loop_
_atom_site_label
_atom_site_fract_x
_atom_site_fract_y
_atom_site_fract_z
Nd1 0.132 0.868 0.750
Nd2 0.868 0.132 0.250
Ti1 0.385 0.615 0.559
Ti2 0.385 0.615 0.941
Ti3 0.615 0.385 0.059
Ti4 0.615 0.385 0.441
Se1 0.000 0.000 0.000
Se2 0.000 0.000 0.500
Se3 0.265 0.735 0.109
Se4 0.265 0.735 0.391
Se5 0.449 0.551 0.750
Se6 0.551 0.449 0.250
Se7 0.735 0.265 0.609
Se8 0.735 0.265 0.891
```

Largest 10 diffraction maxima, in order of rising 2θ, 15 to 90 degrees two-theta:
2θ (°)	I_rel
16.10	21.3
25.19	30.0
31.13	54.5
31.42	64.1
32.34	100.0
34.52	88.7
42.13	33.3
45.79	39.8
49.67	25.2
56.41	26.2

***

This entry pairs a crystal structure of NdTi4Se8 with its calculated powder XRD pattern. Radiation: CuKα. Structure: a DFT-relaxed cell (GGA-PBE, Alexandria).
Intensities are scaled so that the largest is 100.

Atomic structure:
```
data_NdTi4Se8
_chemical_formula_sum 'Nd1 Ti4 Se8'
_cell_length_a 8.117
_cell_length_b 8.117
_cell_length_c 8.117
_cell_angle_alpha 53.15
_cell_angle_beta 53.15
_cell_angle_gamma 53.15
_symmetry_space_group_name_H-M 'P 1'
_symmetry_Int_Tables_number 1
loop_
_symmetry_equiv_pos_as_xyz
'x,y,z'
loop_
_atom_site_label
_atom_site_fract_x
_atom_site_fract_y
_atom_site_fract_z
Nd1 0.000 0.000 0.000
Ti1 0.000 0.000 0.500
Ti2 0.000 0.500 0.000
Ti3 0.500 0.000 0.000
Ti4 0.500 0.500 0.500
Se1 0.238 0.238 0.238
Se2 0.250 0.736 0.736
Se3 0.264 0.264 0.750
Se4 0.264 0.750 0.264
Se5 0.736 0.250 0.736
Se6 0.736 0.736 0.250
Se7 0.750 0.264 0.264
Se8 0.762 0.762 0.762
```

Largest 10 diffraction maxima, in order of rising 2θ, 15 to 90 degrees two-theta:
2θ (°)	I_rel
16.46	13.1
25.63	11.1
29.67	12.8
33.27	100.0
45.18	37.8
50.25	30.8
61.61	16.2
69.86	10.5
75.78	12.8
83.40	13.2

***

This entry pairs a crystal structure of Nd3TiTl3Se8 with its calculated powder XRD pattern. Radiation: CuKα. Structure: a DFT-relaxed cell (GGA-PBE, Alexandria).
Intensities are scaled so that the largest is 100.

Atomic structure:
```
data_Nd3TiTl3Se8
_chemical_formula_sum 'Nd3 Ti1 Tl3 Se8'
_cell_length_a 9.193
_cell_length_b 9.193
_cell_length_c 9.193
_cell_angle_alpha 54.11
_cell_angle_beta 54.11
_cell_angle_gamma 54.11
_symmetry_space_group_name_H-M 'P 1'
_symmetry_Int_Tables_number 1
loop_
_symmetry_equiv_pos_as_xyz
'x,y,z'
loop_
_atom_site_label
_atom_site_fract_x
_atom_site_fract_y
_atom_site_fract_z
Nd1 0.000 0.500 0.500
Nd2 0.500 0.000 0.500
Nd3 0.500 0.500 0.000
Ti1 0.000 0.000 0.000
Tl1 0.000 0.000 0.500
Tl2 0.000 0.500 0.000
Tl3 0.500 0.000 0.000
Se1 0.214 0.214 0.767
Se2 0.214 0.767 0.214
Se3 0.233 0.786 0.786
Se4 0.262 0.262 0.262
Se5 0.738 0.738 0.738
Se6 0.767 0.214 0.214
Se7 0.786 0.233 0.786
Se8 0.786 0.786 0.233
```

Largest 10 diffraction maxima, in order of rising 2θ, 15 to 90 degrees two-theta:
2θ (°)	I_rel
22.73	7.0
25.75	11.0
28.98	100.0
39.53	35.7
43.28	33.8
52.92	17.1
60.05	10.1
65.33	13.7
70.68	13.6
76.86	9.0

***

This entry pairs a crystal structure of Nd5Tl2Se2 with its calculated powder XRD pattern. Radiation: CuKα. Structure: a DFT-relaxed cell (GGA-PBE, Alexandria).
Intensities are scaled so that the largest is 100.

Atomic structure:
```
data_Nd5Tl2Se2
_chemical_formula_sum 'Nd10 Tl4 Se4'
_cell_length_a 8.796
_cell_length_b 8.796
_cell_length_c 8.283
_cell_angle_alpha 90.00
_cell_angle_beta 90.00
_cell_angle_gamma 55.40
_symmetry_space_group_name_H-M 'P 1'
_symmetry_Int_Tables_number 1
loop_
_symmetry_equiv_pos_as_xyz
'x,y,z'
loop_
_atom_site_label
_atom_site_fract_x
_atom_site_fract_y
_atom_site_fract_z
Nd1 0.000 0.000 0.000
Nd2 0.040 0.704 0.663
Nd3 0.204 0.540 0.163
Nd4 0.296 0.960 0.663
Nd5 0.460 0.796 0.163
Nd6 0.500 0.500 0.500
Nd7 0.540 0.204 0.837
Nd8 0.704 0.040 0.337
Nd9 0.796 0.460 0.837
Nd10 0.960 0.296 0.337
Tl1 0.209 0.209 0.000
Tl2 0.291 0.291 0.500
Tl3 0.709 0.709 0.500
Tl4 0.791 0.791 0.000
Se1 0.140 0.860 0.356
Se2 0.360 0.640 0.856
Se3 0.640 0.360 0.144
Se4 0.860 0.140 0.644
```

Largest 10 diffraction maxima, in order of rising 2θ, 15 to 90 degrees two-theta:
2θ (°)	I_rel
24.30	48.3
29.68	83.2
30.73	88.3
31.54	58.3
31.73	65.0
32.60	100.0
33.57	88.6
34.77	77.7
35.13	76.3
55.83	41.9

***

This entry pairs a crystal structure of NdTm2Se3 with its calculated powder XRD pattern. Radiation: CuKα. Structure: a DFT-relaxed cell (GGA-PBE, Alexandria).
Intensities are scaled so that the largest is 100.

Atomic structure:
```
data_NdTm2Se3
_chemical_formula_sum 'Nd2 Tm4 Se6'
_cell_length_a 4.063
_cell_length_b 5.782
_cell_length_c 12.374
_cell_angle_alpha 90.00
_cell_angle_beta 90.00
_cell_angle_gamma 90.00
_symmetry_space_group_name_H-M 'P 1'
_symmetry_Int_Tables_number 1
loop_
_symmetry_equiv_pos_as_xyz
'x,y,z'
loop_
_atom_site_label
_atom_site_fract_x
_atom_site_fract_y
_atom_site_fract_z
Nd1 0.000 0.000 0.000
Nd2 0.500 0.500 0.500
Tm1 0.000 0.000 0.341
Tm2 0.000 0.000 0.659
Tm3 0.500 0.500 0.159
Tm4 0.500 0.500 0.841
Se1 0.000 0.500 0.000
Se2 0.000 0.500 0.321
Se3 0.000 0.500 0.679
Se4 0.500 0.000 0.179
Se5 0.500 0.000 0.500
Se6 0.500 0.000 0.821
```

Largest 10 diffraction maxima, in order of rising 2θ, 15 to 90 degrees two-theta:
2θ (°)	I_rel
26.54	11.0
26.82	10.7
30.91	100.0
43.90	11.7
44.28	49.1
44.60	12.3
54.67	12.3
55.26	13.0
64.40	11.6
73.15	21.4